Diffraction record for Be2Co2O5. The X-ray diffraction stick pattern is computed, not measured: it uses a cell relaxed with GGA+U and Cu Kα (weighted mean of Kα1 and Kα2).
Neutral-atom scattering factors, no anomalous dispersion.

Most intense lines, 10° ≤ 2θ ≤ 80°, most intense first:
hkl 1 1 2, d = 1.915 Å, 2θ = 47.48°, rel. 100.0
hkl 1 0 2, d = 2.353 Å, 2θ = 38.25°, rel. 95.1
hkl 1 0 0, d = 3.295 Å, 2θ = 27.06°, rel. 74.6
hkl 2 0 0, d = 1.648 Å, 2θ = 55.79°, rel. 44.0
hkl 2 1 2, d = 1.350 Å, 2θ = 69.67°, rel. 30.1
hkl 0 0 2, d = 3.361 Å, 2θ = 26.52°, rel. 28.0
hkl 1 1 0, d = 2.330 Å, 2θ = 38.64°, rel. 24.6
hkl 1 1 4, d = 1.363 Å, 2θ = 68.89°, rel. 23.0
hkl 1 0 4, d = 1.497 Å, 2θ = 61.99°, rel. 13.9
hkl 2 1 0, d = 1.474 Å, 2θ = 63.08°, rel. 13.2

Structural model:
a = 3.2953 Å, b = 3.2953 Å, c = 6.7220 Å
α = 90.00°, β = 90.00°, γ = 90.00°
Element x y z (fractional)
Be 0.0000 0.0000 0.2461
Be 0.0000 0.0000 0.7539
Co 0.5000 0.5000 0.0000
Co 0.5000 0.5000 0.5000
O 0.0000 0.0000 0.0000
O 0.0000 0.5000 0.3128
O 0.0000 0.5000 0.6872
O 0.5000 0.0000 0.3128
O 0.5000 0.0000 0.6872